No. 1
AlFe3H: theoretical powder diffraction line list (Cu Kα, 1.54184 Å), based on a DFT-relaxed cell (GGA-PBE, Alexandria).

Cell and atoms:
Lattice parameters (Å, degrees): 6.5308 4.1914 9.5315 90.00 129.76 90.00
Positions (direct):
Al: 0.2009 0.2410 0.0327
Al: 0.2009 0.2590 0.5327
Al: 0.7991 0.7410 0.4673
Al: 0.7991 0.7590 0.9673
Fe: 0.0264 0.7223 0.8306
Fe: 0.0264 0.7777 0.3306
Fe: 0.3043 0.7494 0.7189
Fe: 0.3043 0.7506 0.2189
Fe: 0.4700 0.2337 0.4096
Fe: 0.4700 0.2663 0.9096
Fe: 0.5300 0.7337 0.0904
Fe: 0.5300 0.7663 0.5904
Fe: 0.6957 0.2494 0.7811
Fe: 0.6957 0.2506 0.2811
Fe: 0.9736 0.2223 0.6694
Fe: 0.9736 0.2777 0.1694
H: 0.2584 0.5488 0.3526
H: 0.2584 0.9512 0.8526
H: 0.7416 0.0488 0.1474
H: 0.7416 0.4512 0.6474

Largest 6 diffraction maxima, sorted by position, 2θ from 10° to 90°:
d/Å  2θ (°)  I/Imax
2.118  42.69  47.2
2.096  43.17  52.6
2.061  43.94  100.0
2.039  44.44  94.6
1.490  62.33  27.3
1.203  79.72  23.5

No. 2
La2GaN: theoretical powder diffraction line list (Cu Kα, 1.54184 Å), based on a DFT-relaxed cell (GGA-PBE, Alexandria).

Cell and atoms:
Lattice parameters (Å, degrees): 6.9853 6.9853 6.9853 137.90 80.03 115.54
Positions (direct):
La: 0.1056 0.2500 0.3556
La: 0.1748 0.6081 0.0667
La: 0.5414 0.1081 0.9333
La: 0.8944 0.7500 0.6444
Ga: 0.4905 0.3179 0.6725
Ga: 0.6454 0.8179 0.3275
N: 0.1729 0.8065 0.8664
N: 0.9401 0.3065 0.1336

Largest 6 diffraction maxima, sorted by position, 2θ from 10° to 90°:
d/Å  2θ (°)  I/Imax
3.725  23.89  40.1
3.285  27.15  100.0
2.907  30.76  67.2
2.881  31.05  90.2
2.509  35.79  55.6
2.056  44.04  32.3